# 1
For PaPtN, a structure optimized by DFT (GGA-PBE) gives the calculated powder diffractogram in this record (Cu Ka).
Intensities are scaled so that the largest is 100.

Structure:
Cell lengths 3.737, 14.741, 3.834 Å; angles 90.00, 90.00, 90.00 degrees
Atoms (fractional coordinates):
Pa: 0.000 0.165 0.250
Pa: 0.000 0.835 0.750
Pa: 0.500 0.335 0.750
Pa: 0.500 0.665 0.250
Pt: 0.000 0.437 0.250
Pt: 0.000 0.563 0.750
Pt: 0.500 0.063 0.750
Pt: 0.500 0.937 0.250
N: 0.000 0.250 0.750
N: 0.000 0.750 0.250
N: 0.500 0.250 0.250
N: 0.500 0.750 0.750

Most intense lines, 2θ from 10° to 90°, by angle:
- 2.974 Å, intensity 82, (1 3 0)
- 2.657 Å, intensity 100, (0 4 1)
- 2.633 Å, intensity 87, (1 1 1)
- 2.350 Å, intensity 39, (1 3 1)
- 1.917 Å, intensity 25, (0 0 2)
- 1.868 Å, intensity 23, (2 0 0)
- 1.835 Å, intensity 22, (1 7 0)
- 1.655 Å, intensity 24, (1 7 1)
- 1.611 Å, intensity 28, (1 3 2)
- 1.528 Å, intensity 38, (2 4 1)

---

# 2
For Pa2PtSe2N2, a structure optimized by DFT (GGA-PBE) gives the calculated powder diffractogram in this record (Cu Ka).
Intensities are scaled so that the largest is 100.

Structure:
Cell lengths 4.697, 4.697, 8.567 Å; angles 90.00, 90.00, 120.00 degrees
Atoms (fractional coordinates):
Pa: 0.333 0.667 0.355
Pa: 0.667 0.333 0.645
Pt: 0.000 0.000 0.500
Se: 0.000 0.000 0.202
Se: 0.000 0.000 0.798
N: 0.333 0.667 0.587
N: 0.667 0.333 0.413

Most intense lines, 2θ from 10° to 90°, by angle:
- 8.567 Å, intensity 100, (0 0 1)
- 3.674 Å, intensity 39, (0 1 1)
- 2.950 Å, intensity 35, (1 0 2)
- 2.348 Å, intensity 47, (1 1 0)
- 2.337 Å, intensity 40, (1 0 3)
- 2.265 Å, intensity 24, (1 1 1)
- 1.895 Å, intensity 18, (0 1 4)
- 1.837 Å, intensity 10, (0 2 2)
- 1.657 Å, intensity 14, (0 2 3)
- 1.354 Å, intensity 14, (2 1 3)